# PaNiSn2O8
Theoretical powder diffraction line list, Cu Kα X-rays. Input: a crystal structure in Alexandria, relaxed with PBE+U.

Most intense lines, 2θ from 10° to 90°, low angle first:
Position (°2θ)	I (rel.)
13.8	16
22.7	31
25.1	66
25.7	61
33.3	100
36.2	32
49.6	45
50.3	42
63.3	26
69.8	12

Cell and atoms:
```
data_PaNiSn2O8
_chemical_formula_sum 'Pa1 Ni1 Sn2 O8'
_space_group_name_H-M_alt 'P 1 2/m 1'
_space_group_IT_number 10
_cell_length_a 4.958
_cell_length_b 6.416
_cell_length_c 4.964
_cell_angle_alpha 90.00
_cell_angle_beta 91.39
_cell_angle_gamma 90.00
loop_
_space_group_symop_operation_xyz
'x,y,z'
'-x,-y,-z'
'-x,y,-z'
'x,-y,z'
loop_
_atom_site_label
_atom_site_type_symbol
_atom_site_fract_x
_atom_site_fract_y
_atom_site_fract_z
Pa1 Pa 0.000 0.000 0.000
Ni1 Ni 0.000 0.500 0.000
Sn1 Sn 0.500 0.259 0.500
O1 O 0.199 0.257 0.196
O2 O 0.302 0.500 0.696
O3 O 0.314 0.000 0.683
```